# 1
Structure and calculated X-ray powder pattern of Mn3Re (a crystal structure in Alexandria, relaxed with GGA-PBE; Cu Ka).
Lines closer than 0.1° are merged.

Crystal structure
```
data_Mn3Re
_chemical_formula_sum 'Mn12 Re4'
_space_group_name_H-M_alt 'P n m a'
_space_group_IT_number 62
_cell_length_a 4.498
_cell_length_b 8.275
_cell_length_c 5.132
_cell_angle_alpha 90.00
_cell_angle_beta 90.00
_cell_angle_gamma 90.00
loop_
_space_group_symop_operation_xyz
'x,y,z'
'-x,-y,-z'
'-x+1/2,-y,z+1/2'
'x+1/2,y,-z+1/2'
'x+1/2,-y+1/2,-z+1/2'
'-x+1/2,y+1/2,z+1/2'
'-x,y+1/2,-z'
'x,-y+1/2,z'
loop_
_atom_site_label
_atom_site_type_symbol
_atom_site_fract_x
_atom_site_fract_y
_atom_site_fract_z
Mn1 Mn 0.081 0.250 0.125
Mn2 Mn 0.232 0.510 0.874
Re1 Re 0.072 0.250 0.615
```

Peak list (10 most intense, 2θ from 15° to 90°, in order of rising 2θ)
- d 4.361, I = 39, hkl 0 1 1
- d 4.137, I = 49, hkl 0 2 0
- d 2.619, I = 36, hkl 1 2 1
- d 2.170, I = 41, hkl 2 1 0
- d 2.152, I = 100, hkl 1 1 2
- d 2.069, I = 58, hkl 0 4 0
- d 1.976, I = 52, hkl 2 2 0
- d 1.962, I = 76, hkl 1 2 2
- d 1.734, I = 49, hkl 1 3 2
- d 1.097, I = 27, hkl 3 4 2

---

# 2
Structure and calculated X-ray powder pattern of MgAlTl2Se4 (a crystal structure in Alexandria, relaxed with GGA-PBE; Cu Ka).
Lines closer than 0.1° are merged.

Crystal structure
```
data_MgAlTl2Se4
_chemical_formula_sum 'Mg1 Al1 Tl2 Se4'
_space_group_name_H-M_alt 'P 1'
_space_group_IT_number 1
_cell_length_a 6.460
_cell_length_b 6.472
_cell_length_c 7.042
_cell_angle_alpha 116.09
_cell_angle_beta 116.18
_cell_angle_gamma 91.37
loop_
_space_group_symop_operation_xyz
'x,y,z'
loop_
_atom_site_label
_atom_site_type_symbol
_atom_site_fract_x
_atom_site_fract_y
_atom_site_fract_z
Mg1 Mg 0.000 0.000 0.000
Al1 Al 0.237 0.764 0.500
Tl1 Tl 0.543 0.456 0.000
Tl2 Tl 0.802 0.203 0.499
Se1 Se 0.119 0.438 0.090
Se2 Se 0.288 0.100 0.447
Se3 Se 0.562 0.878 0.909
Se4 Se 0.899 0.719 0.552
```

Peak list (10 most intense, 2θ from 15° to 90°, in order of rising 2θ)
- d 5.589, I = 21, hkl 0 1 0
- d 5.540, I = 30, hkl 1 0 -1
- d 3.531, I = 18, hkl -1 1 1
- d 3.232, I = 100, hkl 2 0 -1
- d 3.188, I = 31, hkl 1 0 1
- d 3.160, I = 24, hkl 1 0 -2
- d 2.732, I = 26, hkl 0 0 2
- d 2.258, I = 19, hkl 2 2 -2
- d 2.097, I = 21, hkl 2 0 1
- d 2.076, I = 22, hkl 0 2 -3

---

# 3
Structure and calculated X-ray powder pattern of NaCa2TiCl8 (a crystal structure in Alexandria, relaxed with GGA-PBE; Cu Ka).
Lines closer than 0.1° are merged.

Crystal structure
```
data_NaCa2TiCl8
_chemical_formula_sum 'Na1 Ca2 Ti1 Cl8'
_space_group_name_H-M_alt 'P 1 2/m 1'
_space_group_IT_number 10
_cell_length_a 6.143
_cell_length_b 8.245
_cell_length_c 6.362
_cell_angle_alpha 90.00
_cell_angle_beta 90.36
_cell_angle_gamma 90.00
loop_
_space_group_symop_operation_xyz
'x,y,z'
'-x,-y,-z'
'-x,y,-z'
'x,-y,z'
loop_
_atom_site_label
_atom_site_type_symbol
_atom_site_fract_x
_atom_site_fract_y
_atom_site_fract_z
Na1 Na 0.000 0.000 0.000
Ca1 Ca 0.500 0.249 0.500
Ti1 Ti 0.000 0.500 0.000
Cl1 Cl 0.213 0.287 0.835
Cl2 Cl 0.257 0.500 0.308
Cl3 Cl 0.280 0.000 0.329
```

Peak list (10 most intense, 2θ from 15° to 90°, in order of rising 2θ)
- d 4.433, I = 44, hkl 1 0 -1
- d 4.405, I = 35, hkl 1 0 1
- d 3.014, I = 100, hkl 1 2 1
- d 2.832, I = 23, hkl 1 0 -2
- d 2.334, I = 19, hkl 1 2 -2
- d 2.301, I = 33, hkl 2 2 -1
- d 2.293, I = 24, hkl 2 2 1
- d 2.203, I = 19, hkl 2 0 2
- d 2.061, I = 20, hkl 0 4 0
- d 1.886, I = 34, hkl 0 2 3

---

# 4
Structure and calculated X-ray powder pattern of Cs2ErZn3F12 (a crystal structure in Alexandria, relaxed with GGA-PBE; Cu Ka).
Lines closer than 0.1° are merged.

Crystal structure
```
data_Cs2ErZn3F12
_chemical_formula_sum 'Cs6 Er3 Zn9 F36'
_space_group_name_H-M_alt 'R -3 m'
_space_group_IT_number 166
_space_group_name_Hall '-R 3 2"'
_cell_length_a 7.4851
_cell_length_b 7.4851
_cell_length_c 19.3103
_cell_angle_alpha 90.00
_cell_angle_beta 90.00
_cell_angle_gamma 120.00
loop_
_atom_site_label
_atom_site_type_symbol
_atom_site_fract_x
_atom_site_fract_y
_atom_site_fract_z
Cs1 Cs 0.0000 0.0000 0.1152
Er1 Er 0.0000 0.0000 0.5000
Zn1 Zn 0.0000 0.5000 0.0000
F1 F 0.0512 0.5256 0.1066
F2 F 0.0743 0.5371 0.3457
```

Peak list (10 most intense, 2θ from 15° to 90°, in order of rising 2θ)
- d 3.743, I = 42, hkl 1 1 0
- d 3.318, I = 75, hkl 0 1 5
- d 3.235, I = 100, hkl 1 1 3
- d 3.196, I = 24, hkl 0 2 1
- d 3.073, I = 46, hkl 2 0 2
- d 2.069, I = 25, hkl 1 2 5
- d 2.048, I = 32, hkl 3 0 3
- d 1.936, I = 34, hkl 2 0 8
- d 1.871, I = 40, hkl 2 2 0
- d 1.630, I = 20, hkl 3 1 5

---

# 5
Structure and calculated X-ray powder pattern of Er5In2 (a crystal structure in Alexandria, relaxed with GGA-PBE; Cu Ka).
Lines closer than 0.1° are merged.

Crystal structure
```
data_Er5In2
_chemical_formula_sum 'Er20 In8'
_space_group_name_H-M_alt 'C m c m'
_space_group_IT_number 63
_space_group_name_Hall '-C 2c 2'
_cell_length_a 3.690
_cell_length_b 41.742
_cell_length_c 5.166
_cell_angle_alpha 90.00
_cell_angle_beta 90.00
_cell_angle_gamma 90.00
loop_
_atom_site_label
_atom_site_type_symbol
_atom_site_fract_x
_atom_site_fract_y
_atom_site_fract_z
Er1 Er 0.000 0.025 0.250
Er2 Er 0.000 0.119 0.750
Er3 Er 0.000 0.239 0.250
Er4 Er 0.000 0.332 0.750
Er5 Er 0.000 0.453 0.250
In1 In 0.000 0.194 0.750
In2 In 0.000 0.407 0.750
```

Peak list (10 most intense, 2θ from 15° to 90°, in order of rising 2θ)
- d 2.982, I = 15, hkl 0 14 0
- d 2.888, I = 26, hkl 1 9 0
- d 2.825, I = 82, hkl 1 5 1
- d 2.583, I = 100, hkl 0 0 2
- d 2.521, I = 39, hkl 1 9 1
- d 1.925, I = 16, hkl 1 9 2
- d 1.845, I = 17, hkl 2 0 0
- d 1.534, I = 13, hkl 1 5 3
- d 1.501, I = 38, hkl 2 0 2
- d 1.491, I = 12, hkl 0 14 3

---

# 6
Structure and calculated X-ray powder pattern of UTl3Co2S6 (a crystal structure in Alexandria, relaxed with GGA-PBE; Cu Ka).
Lines closer than 0.1° are merged.

Crystal structure
```
data_UTl3Co2S6
_chemical_formula_sum 'U2 Tl6 Co4 S12'
_space_group_name_H-M_alt 'C 1 2/m 1'
_space_group_IT_number 12
_cell_length_a 5.939
_cell_length_b 10.290
_cell_length_c 8.559
_cell_angle_alpha 90.00
_cell_angle_beta 104.07
_cell_angle_gamma 90.00
loop_
_space_group_symop_operation_xyz
'x,y,z'
'-x,-y,-z'
'-x,y,-z'
'x,-y,z'
'x+1/2,y+1/2,z'
'-x+1/2,-y+1/2,-z'
'-x+1/2,y+1/2,-z'
'x+1/2,-y+1/2,z'
loop_
_atom_site_label
_atom_site_type_symbol
_atom_site_fract_x
_atom_site_fract_y
_atom_site_fract_z
U1 U 0.000 0.000 0.000
Tl1 Tl 0.000 0.168 0.500
Tl2 Tl 0.000 0.500 0.500
Co1 Co 0.000 0.333 0.000
S1 S 0.182 0.500 0.162
S2 S 0.245 0.188 0.163
```

Peak list (10 most intense, 2θ from 15° to 90°, in order of rising 2θ)
- d 4.151, I = 90, hkl 0 0 2
- d 2.893, I = 60, hkl 1 3 -1
- d 2.880, I = 30, hkl 2 0 0
- d 2.693, I = 49, hkl 2 0 -2
- d 2.674, I = 100, hkl 1 3 1
- d 2.156, I = 41, hkl 1 3 -3
- d 2.136, I = 21, hkl 2 0 2
- d 1.903, I = 30, hkl 1 3 3
- d 1.715, I = 40, hkl 0 6 0
- d 1.530, I = 19, hkl 1 3 -5

---

# 7
Structure and calculated X-ray powder pattern of Y6Er3Th2 (a crystal structure in Alexandria, relaxed with GGA-PBE; Cu Ka).
Lines closer than 0.1° are merged.

Crystal structure
```
data_Y6Er3Th2
_chemical_formula_sum 'Y12 Er6 Th4'
_space_group_name_H-M_alt 'P n n m'
_space_group_IT_number 58
_cell_length_a 5.931
_cell_length_b 12.501
_cell_length_c 10.189
_cell_angle_alpha 90.00
_cell_angle_beta 90.00
_cell_angle_gamma 90.00
loop_
_space_group_symop_operation_xyz
'x,y,z'
'-x,-y,-z'
'-x,-y,z'
'x,y,-z'
'x+1/2,-y+1/2,-z+1/2'
'-x+1/2,y+1/2,z+1/2'
'-x+1/2,y+1/2,-z+1/2'
'x+1/2,-y+1/2,z+1/2'
loop_
_atom_site_label
_atom_site_type_symbol
_atom_site_fract_x
_atom_site_fract_y
_atom_site_fract_z
Y1 Y 0.188 0.201 0.000
Y2 Y 0.213 0.221 0.339
Er1 Er 0.000 0.000 0.180
Er2 Er 0.000 0.500 0.500
Th1 Th 0.240 0.947 0.500
```

Peak list (10 most intense, 2θ from 15° to 90°, in order of rising 2θ)
- d 3.692, I = 46, hkl 1 1 2
- d 3.281, I = 47, hkl 0 1 3
- d 3.233, I = 55, hkl 1 3 1
- d 3.125, I = 58, hkl 0 4 0
- d 2.869, I = 91, hkl 1 1 3
- d 2.776, I = 100, hkl 2 1 1
- d 2.765, I = 66, hkl 1 4 0
- d 2.666, I = 72, hkl 1 2 3
- d 2.633, I = 45, hkl 0 3 3
- d 1.665, I = 44, hkl 2 1 5

---

# 8
Structure and calculated X-ray powder pattern of CaNd4Te5 (a crystal structure in Alexandria, relaxed with GGA-PBE; Cu Ka).
Lines closer than 0.1° are merged.

Crystal structure
```
data_CaNd4Te5
_chemical_formula_sum 'Ca2 Nd8 Te10'
_space_group_name_H-M_alt 'I 4/m m m'
_space_group_IT_number 139
_space_group_name_Hall '-I 4 2'
_cell_length_a 4.485
_cell_length_b 4.485
_cell_length_c 32.041
_cell_angle_alpha 90.00
_cell_angle_beta 90.00
_cell_angle_gamma 90.00
loop_
_atom_site_label
_atom_site_type_symbol
_atom_site_fract_x
_atom_site_fract_y
_atom_site_fract_z
Ca1 Ca 0.000 0.000 0.000
Nd1 Nd 0.000 0.000 0.196
Nd2 Nd 0.000 0.000 0.396
Te1 Te 0.000 0.000 0.097
Te2 Te 0.000 0.000 0.297
Te3 Te 0.000 0.000 0.500
```

Peak list (10 most intense, 2θ from 15° to 90°, in order of rising 2θ)
- d 3.204, I = 52, hkl 0 0 10
- d 3.172, I = 100, hkl 1 1 0
- d 2.254, I = 74, hkl 1 1 10
- d 2.243, I = 38, hkl 2 0 0
- d 1.837, I = 41, hkl 2 0 10
- d 1.586, I = 13, hkl 2 2 0
- d 1.430, I = 15, hkl 1 1 20
- d 1.421, I = 17, hkl 2 2 10
- d 1.418, I = 18, hkl 3 1 0
- d 1.297, I = 25, hkl 3 1 10

---

# 9
Structure and calculated X-ray powder pattern of CdCu2Pd9 (a crystal structure in Alexandria, relaxed with GGA-PBE; Cu Ka).
Lines closer than 0.1° are merged.

Crystal structure
```
data_CdCu2Pd9
_chemical_formula_sum 'Cd1 Cu2 Pd9'
_space_group_name_H-M_alt 'P 4/m m m'
_space_group_IT_number 123
_space_group_name_Hall '-P 4 2'
_cell_length_a 3.945
_cell_length_b 3.945
_cell_length_c 11.787
_cell_angle_alpha 90.00
_cell_angle_beta 90.00
_cell_angle_gamma 90.00
loop_
_atom_site_label
_atom_site_type_symbol
_atom_site_fract_x
_atom_site_fract_y
_atom_site_fract_z
Cd1 Cd 0.000 0.000 0.000
Cu1 Cu 0.000 0.000 0.338
Pd1 Pd 0.000 0.500 0.177
Pd2 Pd 0.000 0.500 0.500
Pd3 Pd 0.500 0.500 0.000
Pd4 Pd 0.500 0.500 0.339
```

Peak list (10 most intense, 2θ from 15° to 90°, in order of rising 2θ)
- d 3.940, I = 1, hkl 1 0 0
- d 2.521, I = 1, hkl 1 1 2
- d 2.275, I = 100, hkl 1 1 3
- d 1.973, I = 33, hkl 2 0 0
- d 1.964, I = 15, hkl 0 0 6
- d 1.395, I = 10, hkl 2 2 0
- d 1.392, I = 19, hkl 2 0 6
- d 1.189, I = 24, hkl 3 1 3
- d 1.186, I = 10, hkl 1 1 9
- d 1.137, I = 10, hkl 2 2 6

---

# 10
Structure and calculated X-ray powder pattern of Np4H (a crystal structure in Alexandria, relaxed with GGA-PBE; Cu Ka).
Lines closer than 0.1° are merged.

Crystal structure
```
data_Np4H
_chemical_formula_sum 'Np4 H1'
_space_group_name_H-M_alt 'P m -3 m'
_space_group_IT_number 221
_space_group_name_Hall '-P 4 2 3'
_cell_length_a 4.503
_cell_length_b 4.503
_cell_length_c 4.503
_cell_angle_alpha 90.00
_cell_angle_beta 90.00
_cell_angle_gamma 90.00
loop_
_atom_site_label
_atom_site_type_symbol
_atom_site_fract_x
_atom_site_fract_y
_atom_site_fract_z
Np1 Np 0.000 0.000 0.000
Np2 Np 0.000 0.500 0.500
H1 H 0.500 0.500 0.500
```

Peak list (6 most intense, 2θ from 15° to 90°, in order of rising 2θ)
- d 2.600, I = 100, hkl 1 1 1
- d 2.252, I = 51, hkl 2 0 0
- d 1.592, I = 35, hkl 2 2 0
- d 1.358, I = 42, hkl 3 1 1
- d 1.300, I = 12, hkl 2 2 2
- d 1.126, I = 6, hkl 4 0 0

---

# 11
Structure and calculated X-ray powder pattern of CsSm2Br8 (a crystal structure in Alexandria, relaxed with GGA-PBE; Cu Ka).
Lines closer than 0.1° are merged.

Crystal structure
```
data_CsSm2Br8
_chemical_formula_sum 'Cs2 Sm4 Br16'
_space_group_name_H-M_alt 'C 1 2/m 1'
_space_group_IT_number 12
_cell_length_a 12.036
_cell_length_b 9.031
_cell_length_c 9.099
_cell_angle_alpha 90.00
_cell_angle_beta 101.69
_cell_angle_gamma 90.00
loop_
_space_group_symop_operation_xyz
'x,y,z'
'-x,-y,-z'
'-x,y,-z'
'x,-y,z'
'x+1/2,y+1/2,z'
'-x+1/2,-y+1/2,-z'
'-x+1/2,y+1/2,-z'
'x+1/2,-y+1/2,z'
loop_
_atom_site_label
_atom_site_type_symbol
_atom_site_fract_x
_atom_site_fract_y
_atom_site_fract_z
Cs1 Cs 0.000 0.000 0.000
Sm1 Sm 0.177 0.500 0.463
Br1 Br 0.059 0.500 0.707
Br2 Br 0.143 0.188 0.354
Br3 Br 0.243 0.000 0.810
```

Peak list (10 most intense, 2θ from 15° to 90°, in order of rising 2θ)
- d 5.450, I = 86, hkl 2 0 -1
- d 5.277, I = 88, hkl 1 1 1
- d 4.515, I = 77, hkl 0 2 0
- d 3.192, I = 43, hkl 2 2 1
- d 3.143, I = 41, hkl 3 1 1
- d 3.097, I = 45, hkl 3 1 -2
- d 2.899, I = 56, hkl 2 0 -3
- d 2.731, I = 100, hkl 1 3 1
- d 2.642, I = 45, hkl 4 0 1
- d 2.439, I = 55, hkl 2 2 -3

---

# 12
Structure and calculated X-ray powder pattern of Dy3Cu4Ni4 (a crystal structure in Alexandria, relaxed with GGA-PBE; Cu Ka).
Lines closer than 0.1° are merged.

Crystal structure
```
data_Dy3Cu4Ni4
_chemical_formula_sum 'Dy6 Cu8 Ni8'
_space_group_name_H-M_alt 'I -4 3 m'
_space_group_IT_number 217
_space_group_name_Hall 'I -4 2 3'
_cell_length_a 7.203
_cell_length_b 7.203
_cell_length_c 7.203
_cell_angle_alpha 90.00
_cell_angle_beta 90.00
_cell_angle_gamma 90.00
loop_
_atom_site_label
_atom_site_type_symbol
_atom_site_fract_x
_atom_site_fract_y
_atom_site_fract_z
Dy1 Dy 0.000 0.000 0.500
Cu1 Cu 0.121 0.121 0.879
Ni1 Ni 0.199 0.199 0.199
```

Peak list (10 most intense, 2θ from 15° to 90°, in order of rising 2θ)
- d 3.602, I = 23, hkl 2 0 0
- d 2.941, I = 22, hkl 2 1 1
- d 2.547, I = 100, hkl 2 2 0
- d 2.278, I = 45, hkl 3 1 0
- d 2.079, I = 15, hkl 2 2 2
- d 1.925, I = 26, hkl 3 2 1
- d 1.698, I = 21, hkl 4 1 1
- d 1.611, I = 20, hkl 4 2 0
- d 1.470, I = 25, hkl 4 2 2
- d 1.273, I = 15, hkl 4 4 0